Entry 1:
Zn7Cd2Au12: simulated powder X-ray diffraction pattern (Cu Kα, 1.54184 Å), based on a GGA-PBE-relaxed structure.
Peak positions follow from Bragg's law for the DFT cell and can differ from measured ones.

Largest 8 diffraction maxima, in order of rising 2θ, 5° ≤ 2θ ≤ 70°:
2theta	d (Å)	I (rel.)
22.86	3.890	21.9
34.87	2.573	5.1
38.11	2.361	7.9
38.23	2.354	100.0
40.15	2.246	68.3
44.09	2.054	5.8
56.64	1.625	24.2
62.85	1.479	7.6

Structural model:
```
21
Lattice="11.885 0.000 0.000 -5.943 10.293 0.000 0.000 0.000 2.957" Properties=species:S:1:pos:R:3 pbc="T T T"
Zn 0.000 0.000 0.000
Zn -2.762 7.278 1.479
Zn 1.020 4.261 1.479
Zn 4.197 1.264 0.000
Zn 1.742 9.046 1.479
Zn 4.939 6.026 0.000
Zn 8.692 3.003 0.000
Cd 0.000 6.862 0.000
Cd 5.943 3.431 1.479
Au -0.507 2.618 0.000
Au -1.686 4.898 1.479
Au -3.422 9.423 0.000
Au 1.886 1.622 1.479
Au -0.858 9.304 1.479
Au 3.388 3.839 0.000
Au 2.544 6.384 1.479
Au 6.866 1.015 0.000
Au 3.929 8.545 0.000
Au 9.537 0.822 1.479
Au 7.573 5.439 0.000
Au 6.404 7.849 1.479
```



Entry 2:
CeFe3Cl9: simulated powder X-ray diffraction pattern (Cu Kα, 1.54184 Å), based on a GGA-PBE-relaxed structure.
Peak positions follow from Bragg's law for the DFT cell and can differ from measured ones.

Largest 8 diffraction maxima, in order of rising 2θ, 5° ≤ 2θ ≤ 70°:
2theta	d (Å)	I (rel.)
11.95	7.407	23.3
16.87	5.255	100.0
18.57	4.778	36.0
22.85	3.892	24.6
26.50	3.364	18.3
26.73	3.335	17.3
27.57	3.235	24.5
28.81	3.099	20.9

Structural model:
```
26
Lattice="9.019 -4.517 0.000 9.019 4.517 0.000 -8.245 0.000 10.082" Properties=species:S:1:pos:R:3 pbc="T T T"
Ce 4.896 2.477 5.041
Ce 9.019 -2.477 0.000
Fe -4.230 1.120 8.382
Fe -0.108 -1.120 3.341
Fe 0.936 0.652 6.672
Fe 5.059 -0.652 1.631
Fe 11.439 0.695 2.067
Fe 7.316 -0.695 7.108
Cl 0.899 0.540 2.110
Cl 6.644 3.779 3.334
Cl 5.203 1.179 0.262
Cl -3.223 -0.540 7.151
Cl 2.998 1.654 6.886
Cl 4.286 0.187 3.639
Cl 0.163 -0.187 8.680
Cl 1.080 -1.179 5.303
Cl 9.256 1.394 2.282
Cl 12.615 2.272 0.884
Cl 7.213 1.095 5.672
Cl 7.121 -1.654 1.845
Cl 5.133 -1.394 7.323
Cl 11.336 -1.095 0.631
Cl 8.070 0.068 9.151
Cl 12.193 -0.068 4.109
Cl 2.522 -3.779 8.375
Cl 8.493 -2.272 5.925
```



Entry 3:
Ce2Pr3Sn4: simulated powder X-ray diffraction pattern (Cu Kα, 1.54184 Å), based on a GGA-PBE-relaxed structure.
Peak positions follow from Bragg's law for the DFT cell and can differ from measured ones.

Largest 8 diffraction maxima, in order of rising 2θ, 5° ≤ 2θ ≤ 70°:
2theta	d (Å)	I (rel.)
27.48	3.245	40.4
29.70	3.008	100.0
30.11	2.968	59.1
30.74	2.908	74.7
31.14	2.872	88.8
32.98	2.716	46.3
33.64	2.664	49.9
34.01	2.636	95.1

Structural model:
```
18
Lattice="8.597 0.000 0.000 0.000 8.516 0.000 -3.141 0.000 7.719" Properties=species:S:1:pos:R:3 pbc="T T T"
Ce 1.348 1.408 1.730
Ce -0.223 2.850 5.590
Ce 5.678 5.666 2.129
Ce 4.108 7.108 5.989
Pr 1.507 5.790 0.477
Pr -0.063 6.984 4.336
Pr 4.298 0.000 0.000
Pr 2.728 4.258 3.859
Pr 5.519 1.532 3.383
Pr 3.948 2.726 7.242
Sn -1.881 0.311 6.373
Sn -0.310 3.947 2.513
Sn 1.504 5.375 6.724
Sn 3.075 7.399 2.865
Sn 2.381 1.117 4.854
Sn 3.952 3.141 0.994
Sn 5.766 4.569 5.205
Sn 7.336 8.205 1.346
```



Entry 4:
Ce2TlAu2S6: simulated powder X-ray diffraction pattern (Cu Kα, 1.54184 Å), based on a GGA-PBE-relaxed structure.
Peak positions follow from Bragg's law for the DFT cell and can differ from measured ones.

Largest 8 diffraction maxima, in order of rising 2θ, 5° ≤ 2θ ≤ 70°:
2theta	d (Å)	I (rel.)
16.23	5.460	32.4
18.00	4.927	40.0
24.31	3.662	70.5
26.99	3.303	35.6
27.54	3.239	100.0
28.13	3.172	65.5
30.07	2.971	51.6
35.50	2.529	54.7

Structural model:
```
11
Lattice="7.236 0.000 0.000 -3.547 6.458 0.000 -2.860 -2.451 6.339" Properties=species:S:1:pos:R:3 pbc="T T T"
Ce -1.440 0.888 3.013
Ce 2.270 3.119 3.326
Tl 2.188 -1.226 3.170
Au -2.337 -0.249 6.074
Au 3.167 4.256 0.265
S -3.630 1.108 4.640
S -0.373 -1.096 4.578
S 1.005 1.137 1.769
S -0.175 2.870 4.570
S 1.203 5.103 1.761
S 4.459 2.899 1.700
```



Entry 5:
Pm5Y3S8: simulated powder X-ray diffraction pattern (Cu Kα, 1.54184 Å), based on a GGA-PBE-relaxed structure.
Peak positions follow from Bragg's law for the DFT cell and can differ from measured ones.

Largest 8 diffraction maxima, in order of rising 2θ, 5° ≤ 2θ ≤ 70°:
2theta	d (Å)	I (rel.)
27.24	3.273	16.4
27.40	3.255	48.3
31.70	2.823	100.0
45.34	2.000	35.8
45.54	1.992	35.5
53.91	1.701	23.7
56.55	1.627	18.4
66.21	1.411	11.3

Structural model:
```
16
Lattice="3.984 2.300 6.547 -3.984 2.300 6.547 0.000 -4.600 6.547" Properties=species:S:1:pos:R:3 pbc="T T T"
Pm 0.000 0.000 0.000
Pm -1.992 -1.150 6.547
Pm -1.992 1.150 13.093
Pm 0.000 2.300 6.547
Pm 0.000 0.000 9.820
Y -3.984 0.000 9.820
Y -1.992 1.150 3.273
Y 1.992 1.150 3.273
S -2.024 -1.168 11.403
S 0.000 0.000 4.832
S 0.000 -2.337 8.236
S -2.024 1.168 8.236
S 2.024 -1.168 11.403
S 0.000 2.337 11.403
S 0.000 0.000 14.807
S 2.024 1.168 8.236
```



Entry 6:
CaNd2H6Ru: simulated powder X-ray diffraction pattern (Cu Kα, 1.54184 Å), based on a GGA-PBE-relaxed structure.
Peak positions follow from Bragg's law for the DFT cell and can differ from measured ones.

Largest 8 diffraction maxima, in order of rising 2θ, 5° ≤ 2θ ≤ 70°:
2theta	d (Å)	I (rel.)
13.67	6.477	39.5
24.73	3.599	100.0
34.59	2.593	73.4
35.93	2.500	67.3
44.11	2.053	22.8
50.73	1.800	25.2
58.14	1.587	19.0
63.72	1.461	24.3

Structural model:
```
10
Lattice="5.000 0.000 0.000 -2.500 4.330 0.000 0.000 0.000 6.477" Properties=species:S:1:pos:R:3 pbc="T T T"
Ca 0.000 0.000 0.000
Nd 0.000 2.887 2.023
Nd 2.500 1.443 4.454
H 0.000 1.403 4.280
H -1.285 3.628 4.280
H 1.215 0.701 2.197
H 1.285 3.628 4.280
H 3.785 0.701 2.197
H 2.500 2.927 2.197
Ru 0.000 0.000 3.238
```



Entry 7:
La3Pm5Nd2: simulated powder X-ray diffraction pattern (Cu Kα, 1.54184 Å), based on a GGA-PBE-relaxed structure.
Peak positions follow from Bragg's law for the DFT cell and can differ from measured ones.

Largest 8 diffraction maxima, in order of rising 2θ, 5° ≤ 2θ ≤ 70°:
2theta	d (Å)	I (rel.)
28.81	3.099	93.7
30.82	2.901	100.0
31.77	2.817	19.8
32.36	2.766	46.8
35.04	2.561	22.0
48.48	1.878	19.8
59.49	1.554	26.2
61.38	1.510	25.6

Structural model:
```
20
Lattice="5.532 -8.667 0.000 5.532 8.667 0.000 -5.524 0.000 7.412" Properties=species:S:1:pos:R:3 pbc="T T T"
La 1.374 2.168 0.341
La 1.389 4.786 5.559
La -1.388 -2.168 4.047
La 6.929 2.168 3.365
La 4.151 -4.786 1.853
La 4.167 -2.168 7.071
Pm 1.389 8.199 5.559
Pm -1.380 2.074 5.598
Pm 4.151 3.873 1.853
Pm 1.382 -2.074 1.892
Pm 4.151 0.537 1.853
Pm 1.389 -0.537 5.559
Pm 4.159 2.074 5.520
Pm 1.389 -3.873 5.559
Pm 6.921 -2.074 1.814
Pm 4.151 -8.199 1.853
Nd 1.382 2.114 3.461
Nd -1.380 -2.114 7.167
Nd 6.921 2.114 0.246
Nd 4.159 -2.114 3.952
```



Entry 8:
K2Te2As: simulated powder X-ray diffraction pattern (Cu Kα, 1.54184 Å), based on a GGA-PBE-relaxed structure.
Peak positions follow from Bragg's law for the DFT cell and can differ from measured ones.

Largest 8 diffraction maxima, in order of rising 2θ, 5° ≤ 2θ ≤ 70°:
2theta	d (Å)	I (rel.)
17.31	5.122	16.0
19.27	4.605	19.4
19.82	4.479	46.7
26.07	3.418	15.0
28.88	3.091	35.5
29.26	3.052	100.0
42.56	2.124	17.1
43.40	2.085	15.2

Structural model:
```
40
Lattice="20.487 0.000 0.000 0.000 8.339 0.000 0.000 0.000 9.211" Properties=species:S:1:pos:R:3 pbc="T T T"
K 0.884 2.085 0.757
K 1.229 6.255 3.922
K 3.863 2.085 4.595
K 4.419 2.085 8.245
K 5.824 6.255 3.640
K 6.381 6.255 9.200
K 9.014 2.085 8.527
K 9.360 6.255 5.363
K 11.127 2.085 3.848
K 11.473 6.255 0.684
K 14.106 2.085 0.011
K 14.663 2.085 5.571
K 16.067 6.255 0.966
K 16.624 6.255 4.616
K 19.257 2.085 5.289
K 19.603 6.255 8.453
Te 1.674 0.037 6.811
Te 1.674 4.132 6.811
Te 3.669 4.232 1.666
Te 3.669 8.277 1.666
Te 6.575 0.063 6.271
Te 6.575 4.107 6.271
Te 8.569 4.207 2.206
Te 8.569 8.302 2.206
Te 11.917 0.037 7.005
Te 11.917 4.132 7.005
Te 13.912 4.232 2.939
Te 13.912 8.277 2.939
Te 16.818 0.063 7.545
Te 16.818 4.107 7.545
Te 18.813 4.207 2.400
Te 18.813 8.302 2.400
As 2.317 6.255 0.661
As 3.094 6.255 7.473
As 7.149 2.085 2.868
As 7.927 2.085 5.267
As 12.560 6.255 3.944
As 13.338 6.255 6.343
As 17.392 2.085 1.737
As 18.170 2.085 8.550
```



What is the formula in the first record? Zn7Cd2Au12